Calculated X-ray diffraction stick pattern of Cs2TaCuBr6 for Cu Ka, from the GGA-PBE geometry in the Materials Project.
No peak broadening, texture or thermal motion is included.

Atomic structure:
a = 7.639 Å, b = 7.639 Å, c = 7.639 Å
α = 60.00°, β = 60.00°, γ = 60.00°
Element x y z (fractional)
Cs: 0.250 0.250 0.250
Cs: 0.750 0.750 0.750
Ta: 0.000 0.000 0.000
Cu: 0.500 0.500 0.500
Br: 0.247 0.247 0.753
Br: 0.247 0.753 0.247
Br: 0.247 0.753 0.753
Br: 0.753 0.247 0.247
Br: 0.753 0.247 0.753
Br: 0.753 0.753 0.247

Peak list (10 most intense, 2θ = 10–80°, by angle)
| 2theta | d (Å) | I (rel.) |
| --- | --- | --- |
| 14.20 | 6.238 | 14 |
| 23.29 | 3.820 | 58 |
| 28.62 | 3.119 | 51 |
| 33.17 | 2.701 | 100 |
| 40.92 | 2.205 | 26 |
| 47.61 | 1.910 | 71 |
| 56.50 | 1.629 | 21 |
| 59.26 | 1.559 | 24 |
| 64.55 | 1.444 | 14 |
| 79.32 | 1.208 | 32 |

Calculated X-ray diffraction stick pattern of Cs2TlCuBr6 for Cu Ka, from the GGA-PBE geometry in the Materials Project.
No peak broadening, texture or thermal motion is included.

Atomic structure:
a = 7.831 Å, b = 7.831 Å, c = 7.831 Å
α = 60.00°, β = 60.00°, γ = 60.00°
Element x y z (fractional)
Cs: 0.250 0.250 0.250
Cs: 0.750 0.750 0.750
Tl: 0.000 0.000 0.000
Cu: 0.500 0.500 0.500
Br: 0.263 0.263 0.737
Br: 0.263 0.737 0.263
Br: 0.263 0.737 0.737
Br: 0.737 0.263 0.263
Br: 0.737 0.263 0.737
Br: 0.737 0.737 0.263

Peak list (10 most intense, 2θ = 10–80°, by angle)
| 2theta | d (Å) | I (rel.) |
| --- | --- | --- |
| 16.01 | 5.538 | 16 |
| 22.71 | 3.916 | 64 |
| 27.91 | 3.197 | 44 |
| 32.33 | 2.769 | 100 |
| 39.88 | 2.261 | 28 |
| 46.38 | 1.958 | 71 |
| 55.00 | 1.670 | 17 |
| 57.67 | 1.599 | 24 |
| 62.79 | 1.480 | 16 |
| 77.01 | 1.238 | 30 |

Calculated X-ray diffraction stick pattern of CsDyBr3 for Cu Ka, from the GGA-PBE geometry in the Materials Project.
No peak broadening, texture or thermal motion is included.

Atomic structure:
a = 8.017 Å, b = 8.017 Å, c = 5.730 Å
α = 90.00°, β = 90.00°, γ = 90.00°
Element x y z (fractional)
Cs: 0.000 0.500 0.000
Cs: 0.500 0.000 0.000
Dy: 0.000 0.000 0.500
Dy: 0.500 0.500 0.500
Br: 0.000 0.000 0.000
Br: 0.220 0.280 0.500
Br: 0.280 0.780 0.500
Br: 0.500 0.500 0.000
Br: 0.720 0.220 0.500
Br: 0.780 0.720 0.500

Peak list (10 most intense, 2θ = 10–80°, by angle)
| 2theta | d (Å) | I (rel.) |
| --- | --- | --- |
| 15.63 | 5.669 | 24 |
| 22.06 | 4.030 | 75 |
| 22.18 | 4.009 | 44 |
| 27.15 | 3.285 | 48 |
| 31.22 | 2.865 | 56 |
| 31.56 | 2.835 | 100 |
| 38.84 | 2.318 | 43 |
| 44.99 | 2.015 | 74 |
| 45.24 | 2.004 | 33 |
| 55.99 | 1.642 | 35 |

Calculated X-ray diffraction stick pattern of Cs3Er2Br9 for Cu Ka, from the GGA-PBE geometry in the Materials Project.
No peak broadening, texture or thermal motion is included.

Atomic structure:
a = 10.475 Å, b = 10.475 Å, c = 10.475 Å
α = 83.18°, β = 83.18°, γ = 83.18°
Element x y z (fractional)
Cs: 0.090 0.750 0.410
Cs: 0.250 0.590 0.910
Cs: 0.410 0.090 0.750
Cs: 0.590 0.910 0.250
Cs: 0.750 0.410 0.090
Cs: 0.910 0.250 0.590
Er: 0.154 0.154 0.154
Er: 0.346 0.346 0.346
Er: 0.654 0.654 0.654
Er: 0.846 0.846 0.846
Br: 0.077 0.915 0.736
Br: 0.085 0.264 0.923
Br: 0.096 0.404 0.250
Br: 0.236 0.415 0.577
Br: 0.250 0.096 0.404
Br: 0.264 0.923 0.085
Br: 0.404 0.250 0.096
Br: 0.415 0.577 0.236
Br: 0.423 0.764 0.585
Br: 0.577 0.236 0.415
Br: 0.585 0.423 0.764
Br: 0.596 0.750 0.904
Br: 0.736 0.077 0.915
Br: 0.750 0.904 0.596
Br: 0.764 0.585 0.423
Br: 0.904 0.596 0.750
Br: 0.915 0.736 0.077
Br: 0.923 0.085 0.264

Peak list (10 most intense, 2θ = 10–80°, by angle)
| 2theta | d (Å) | I (rel.) |
| --- | --- | --- |
| 12.73 | 6.953 | 26 |
| 22.14 | 4.015 | 23 |
| 26.50 | 3.364 | 15 |
| 28.91 | 3.089 | 100 |
| 29.50 | 3.028 | 13 |
| 37.19 | 2.418 | 41 |
| 45.17 | 2.007 | 31 |
| 48.29 | 1.885 | 22 |
| 54.53 | 1.683 | 20 |
| 73.43 | 1.289 | 22 |

Calculated X-ray diffraction stick pattern of CsErTa6Br18 for Cu Ka, from the GGA-PBE geometry in the Materials Project.
No peak broadening, texture or thermal motion is included.

Atomic structure:
a = 9.943 Å, b = 9.943 Å, c = 18.493 Å
α = 90.00°, β = 90.00°, γ = 120.00°
Element x y z (fractional)
Cs: 0.333 0.667 0.250
Cs: 0.667 0.333 0.750
Er: 0.333 0.667 0.750
Er: 0.667 0.333 0.250
Ta: 0.038 0.185 0.936
Ta: 0.038 0.853 0.564
Ta: 0.147 0.185 0.564
Ta: 0.147 0.962 0.936
Ta: 0.185 0.038 0.436
Ta: 0.185 0.147 0.064
Ta: 0.815 0.853 0.936
Ta: 0.815 0.962 0.564
Ta: 0.853 0.038 0.064
Ta: 0.853 0.815 0.436
Ta: 0.962 0.147 0.436
Ta: 0.962 0.815 0.064
Br: 0.046 0.230 0.159
Br: 0.046 0.816 0.341
Br: 0.088 0.448 0.838
Br: 0.088 0.640 0.662
Br: 0.140 0.414 0.499
Br: 0.140 0.725 0.001
Br: 0.184 0.230 0.341
Br: 0.184 0.954 0.159
Br: 0.230 0.046 0.659
Br: 0.230 0.184 0.841
Br: 0.275 0.414 0.001
Br: 0.275 0.860 0.499
Br: 0.360 0.448 0.662
Br: 0.360 0.912 0.838
Br: 0.414 0.140 0.999
Br: 0.414 0.275 0.501
Br: 0.448 0.088 0.338
Br: 0.448 0.360 0.162
Br: 0.552 0.640 0.838
Br: 0.552 0.912 0.662
Br: 0.586 0.725 0.499
Br: 0.586 0.860 0.001
Br: 0.640 0.088 0.162
Br: 0.640 0.552 0.338
Br: 0.725 0.140 0.501
Br: 0.725 0.586 0.999
Br: 0.770 0.816 0.159
Br: 0.770 0.954 0.341
Br: 0.816 0.046 0.841
Br: 0.816 0.770 0.659
Br: 0.860 0.275 0.999
Br: 0.860 0.586 0.501
Br: 0.912 0.360 0.338
Br: 0.912 0.552 0.162
Br: 0.954 0.184 0.659
Br: 0.954 0.770 0.841

Peak list (10 most intense, 2θ = 10–80°, by angle)
| 2theta | d (Å) | I (rel.) |
| --- | --- | --- |
| 10.27 | 8.611 | 100 |
| 14.05 | 6.301 | 73 |
| 31.08 | 2.878 | 30 |
| 33.68 | 2.661 | 59 |
| 34.23 | 2.620 | 17 |
| 36.79 | 2.443 | 19 |
| 40.30 | 2.238 | 18 |
| 40.40 | 2.233 | 17 |
| 41.23 | 2.189 | 18 |
| 48.71 | 1.869 | 18 |

Calculated X-ray diffraction stick pattern of CsBrF for Cu Ka, from the GGA-PBE geometry in the Materials Project.
No peak broadening, texture or thermal motion is included.

Atomic structure:
a = 4.399 Å, b = 4.399 Å, c = 20.159 Å
α = 90.00°, β = 90.00°, γ = 90.00°
Element x y z (fractional)
Cs: 0.000 0.000 0.169
Cs: 0.000 0.000 0.831
Cs: 0.500 0.500 0.331
Cs: 0.500 0.500 0.669
Br: 0.000 0.000 0.440
Br: 0.000 0.000 0.560
Br: 0.500 0.500 0.060
Br: 0.500 0.500 0.940
F: 0.000 0.000 0.317
F: 0.000 0.000 0.683
F: 0.500 0.500 0.183
F: 0.500 0.500 0.817

Peak list (10 most intense, 2θ = 10–80°, by angle)
| 2theta | d (Å) | I (rel.) |
| --- | --- | --- |
| 24.18 | 3.681 | 100 |
| 28.70 | 3.111 | 83 |
| 30.06 | 2.972 | 19 |
| 35.63 | 2.520 | 14 |
| 37.32 | 2.409 | 24 |
| 41.03 | 2.200 | 31 |
| 46.37 | 1.958 | 26 |
| 48.20 | 1.888 | 31 |
| 55.45 | 1.657 | 15 |
| 56.66 | 1.625 | 14 |